No. 1
# Na3CdIn5
Calculated PXRD pattern, a wavelength of 1.5418 Å. Input: a GGA-PBE-relaxed structure.
Intensities are scaled so that the largest is 100.

Atomic structure:
```
data_Na3CdIn5
_chemical_formula_sum 'Na12 Cd4 In20'
_space_group_name_H-M_alt 'I 4/m c m'
_space_group_IT_number 140
_space_group_name_Hall '-I 4 2c'
_cell_length_a 8.9592
_cell_length_b 8.9592
_cell_length_c 12.6464
_cell_angle_alpha 90.00
_cell_angle_beta 90.00
_cell_angle_gamma 90.00
loop_
_atom_site_label
_atom_site_type_symbol
_atom_site_fract_x
_atom_site_fract_y
_atom_site_fract_z
Na1 Na 0.0000 0.0000 0.2500
Na2 Na 0.1100 0.3900 0.0000
Cd1 Cd 0.0000 0.5000 0.2500
In1 In 0.0000 0.0000 0.0000
In2 In 0.1997 0.3003 0.3638
```

Largest 8 diffraction maxima, in order of falling intensity, 2θ from 10° to 90°:
2.583 Å, 2θ 34.7, I = 100, hkl 2 0 4
3.167 Å, 2θ 28.2, I = 59, hkl 2 2 0
2.904 Å, 2θ 30.8, I = 36, hkl 2 1 3
4.476 Å, 2θ 19.8, I = 34, hkl 1 1 2
1.692 Å, 2θ 54.2, I = 30, hkl 4 2 4
2.141 Å, 2θ 42.2, I = 27, hkl 4 1 1
3.820 Å, 2θ 23.3, I = 23, hkl 2 1 1
1.931 Å, 2θ 47.0, I = 21, hkl 4 1 3

---

No. 2
# Na2Cd2In5
Calculated PXRD pattern, a wavelength of 1.5418 Å. Input: a GGA-PBE-relaxed structure.
Intensities are scaled so that the largest is 100.

Atomic structure:
```
data_Na2Cd2In5
_chemical_formula_sum 'Na8 Cd8 In20'
_space_group_name_H-M_alt 'I m a 2'
_space_group_IT_number 46
_cell_length_a 14.8216
_cell_length_b 11.0292
_cell_length_c 6.1156
_cell_angle_alpha 90.00
_cell_angle_beta 90.00
_cell_angle_gamma 90.00
loop_
_space_group_symop_operation_xyz
'x,y,z'
'-x,-y,z'
'-x+1/2,y,z'
'x+1/2,-y,z'
'x+1/2,y+1/2,z+1/2'
'-x+1/2,-y+1/2,z+1/2'
'-x,y+1/2,z+1/2'
'x,-y+1/2,z+1/2'
loop_
_atom_site_label
_atom_site_type_symbol
_atom_site_fract_x
_atom_site_fract_y
_atom_site_fract_z
Na1 Na 0.1267 0.0024 0.0000
Cd1 Cd 0.0000 0.0000 0.4993
Cd2 Cd 0.2500 0.5253 0.9977
In1 In 0.0419 0.7495 0.2486
In2 In 0.1463 0.2032 0.4967
In3 In 0.2500 0.7468 0.2567
```

Largest 8 diffraction maxima, in order of falling intensity, 2θ from 10° to 90°:
2.863 Å, 2θ 31.2, I = 100, hkl 5 1 0
2.168 Å, 2θ 41.7, I = 87, hkl 4 2 2
5.348 Å, 2θ 16.6, I = 83, hkl 0 1 1
2.400 Å, 2θ 37.5, I = 73, hkl 4 3 1
2.890 Å, 2θ 30.9, I = 68, hkl 1 1 2
2.757 Å, 2θ 32.5, I = 64, hkl 0 4 0
5.515 Å, 2θ 16.1, I = 54, hkl 0 2 0
2.674 Å, 2θ 33.5, I = 45, hkl 0 2 2

---

No. 3
# Na2Cd4In5
Calculated PXRD pattern, a wavelength of 1.5418 Å. Input: a GGA-PBE-relaxed structure.
Intensities are scaled so that the largest is 100.

Atomic structure:
```
data_Na2Cd4In5
_chemical_formula_sum 'Na4 Cd8 In10'
_space_group_name_H-M_alt 'C 1 2/m 1'
_space_group_IT_number 12
_cell_length_a 14.0070
_cell_length_b 6.0069
_cell_length_c 9.0260
_cell_angle_alpha 90.00
_cell_angle_beta 129.97
_cell_angle_gamma 90.00
loop_
_space_group_symop_operation_xyz
'x,y,z'
'-x,-y,-z'
'-x,y,-z'
'x,-y,z'
'x+1/2,y+1/2,z'
'-x+1/2,-y+1/2,-z'
'-x+1/2,y+1/2,-z'
'x+1/2,-y+1/2,z'
loop_
_atom_site_label
_atom_site_type_symbol
_atom_site_fract_x
_atom_site_fract_y
_atom_site_fract_z
Na1 Na 0.1736 0.0000 0.1745
Cd1 Cd 0.2426 0.5000 0.0731
Cd2 Cd 0.2430 0.5000 0.4111
In1 In 0.9997 0.2501 0.3270
In2 In 0.0000 0.5000 0.0000
```

Largest 8 diffraction maxima, in order of falling intensity, 2θ from 10° to 90°:
2.685 Å, 2θ 33.4, I = 100, hkl 4 0 0
2.621 Å, 2θ 34.2, I = 97, hkl 2 2 0
2.405 Å, 2θ 37.4, I = 79, hkl 5 1 -3
2.267 Å, 2θ 39.8, I = 64, hkl 0 2 2
2.897 Å, 2θ 30.9, I = 62, hkl 4 0 -3
5.001 Å, 2θ 17.7, I = 60, hkl 1 1 -1
2.754 Å, 2θ 32.5, I = 43, hkl 0 2 1
2.306 Å, 2θ 39.1, I = 33, hkl 0 0 3

---

No. 4
# NaCd6In8
Calculated PXRD pattern, a wavelength of 1.5418 Å. Input: a GGA-PBE-relaxed structure.
Intensities are scaled so that the largest is 100.

Atomic structure:
```
data_NaCd6In8
_chemical_formula_sum 'Na3 Cd18 In24'
_space_group_name_H-M_alt 'R -3'
_space_group_IT_number 148
_space_group_name_Hall '-R 3'
_cell_length_a 8.7691
_cell_length_b 8.7691
_cell_length_c 18.9216
_cell_angle_alpha 90.00
_cell_angle_beta 90.00
_cell_angle_gamma 120.00
loop_
_atom_site_label
_atom_site_type_symbol
_atom_site_fract_x
_atom_site_fract_y
_atom_site_fract_z
Na1 Na 0.0000 0.0000 0.0000
Cd1 Cd 0.0021 0.3452 0.9370
In1 In 0.0000 0.0000 0.3318
In2 In 0.0047 0.3253 0.1104
```

Largest 8 diffraction maxima, in order of falling intensity, 2θ from 10° to 90°:
2.560 Å, 2θ 35.0, I = 100, hkl 1 1 6
2.531 Å, 2θ 35.5, I = 96, hkl 3 0 0
1.800 Å, 2θ 50.7, I = 33, hkl 4 -2 6
1.467 Å, 2θ 63.4, I = 32, hkl 4 1 6
4.385 Å, 2θ 20.3, I = 28, hkl 1 1 0
1.484 Å, 2θ 62.6, I = 19, hkl 2 -1 12
3.600 Å, 2θ 24.7, I = 17, hkl 1 1 3
1.462 Å, 2θ 63.7, I = 16, hkl 3 3 0

---

No. 5
# NaCd3In
Calculated PXRD pattern, a wavelength of 1.5418 Å. Input: a GGA-PBE-relaxed structure.
Intensities are scaled so that the largest is 100.

Atomic structure:
```
data_NaCd3In
_chemical_formula_sum 'Na4 Cd12 In4'
_space_group_name_H-M_alt 'P 1 21/c 1'
_space_group_IT_number 14
_cell_length_a 8.1170
_cell_length_b 7.4489
_cell_length_c 8.7006
_cell_angle_alpha 90.00
_cell_angle_beta 108.69
_cell_angle_gamma 90.00
loop_
_space_group_symop_operation_xyz
'x,y,z'
'-x,-y,-z'
'-x,y+1/2,-z+1/2'
'x,-y+1/2,z+1/2'
loop_
_atom_site_label
_atom_site_type_symbol
_atom_site_fract_x
_atom_site_fract_y
_atom_site_fract_z
Na1 Na 0.2481 0.0191 0.2505
Cd1 Cd 0.0513 0.6968 0.9831
Cd2 Cd 0.1494 0.0722 0.8670
Cd3 Cd 0.3433 0.0801 0.6328
In1 In 0.4429 0.7015 0.5197
```

Largest 8 diffraction maxima, in order of falling intensity, 2θ from 10° to 90°:
2.447 Å, 2θ 36.7, I = 100, hkl 2 0 2
2.701 Å, 2θ 33.2, I = 96, hkl 1 1 -3
2.436 Å, 2θ 36.9, I = 92, hkl 3 1 -2
2.763 Å, 2θ 32.4, I = 65, hkl 0 2 2
4.121 Å, 2θ 21.6, I = 60, hkl 0 0 2
2.675 Å, 2θ 33.5, I = 57, hkl 2 2 0
2.543 Å, 2θ 35.3, I = 55, hkl 3 1 -1
3.394 Å, 2θ 26.3, I = 52, hkl 0 2 1

---

No. 6
# NaCd4In12
Calculated PXRD pattern, a wavelength of 1.5418 Å. Input: a GGA-PBE-relaxed structure.
Intensities are scaled so that the largest is 100.

Atomic structure:
```
data_NaCd4In12
_chemical_formula_sum 'Na2 Cd8 In24'
_space_group_name_H-M_alt 'I m -3'
_space_group_IT_number 204
_space_group_name_Hall '-I 2 2 3'
_cell_length_a 10.0748
_cell_length_b 10.0748
_cell_length_c 10.0748
_cell_angle_alpha 90.00
_cell_angle_beta 90.00
_cell_angle_gamma 90.00
loop_
_atom_site_label
_atom_site_type_symbol
_atom_site_fract_x
_atom_site_fract_y
_atom_site_fract_z
Na1 Na 0.0000 0.0000 0.0000
Cd1 Cd 0.2500 0.2500 0.2500
In1 In 0.0000 0.3515 0.1511
```

Largest 8 diffraction maxima, in order of falling intensity, 2θ from 10° to 90°:
3.186 Å, 2θ 28.0, I = 100, hkl 3 0 1
2.253 Å, 2θ 40.0, I = 45, hkl 4 0 2
1.976 Å, 2θ 45.9, I = 39, hkl 4 3 1
2.057 Å, 2θ 44.0, I = 28, hkl 4 2 2
2.693 Å, 2θ 33.3, I = 27, hkl 3 1 2
1.171 Å, 2θ 82.3, I = 14, hkl 7 4 3
1.485 Å, 2θ 62.5, I = 14, hkl 6 1 3
7.124 Å, 2θ 12.4, I = 11, hkl 1 1 0

---

No. 7
# Na2Cd6In
Calculated PXRD pattern, a wavelength of 1.5418 Å. Input: a GGA-PBE-relaxed structure.
Intensities are scaled so that the largest is 100.

Atomic structure:
```
data_Na2Cd6In
_chemical_formula_sum 'Na4 Cd12 In2'
_space_group_name_H-M_alt 'C 1 2/m 1'
_space_group_IT_number 12
_cell_length_a 10.8936
_cell_length_b 6.2835
_cell_length_c 6.7890
_cell_angle_alpha 90.00
_cell_angle_beta 90.07
_cell_angle_gamma 90.00
loop_
_space_group_symop_operation_xyz
'x,y,z'
'-x,-y,-z'
'-x,y,-z'
'x,-y,z'
'x+1/2,y+1/2,z'
'-x+1/2,-y+1/2,-z'
'-x+1/2,y+1/2,-z'
'x+1/2,-y+1/2,z'
loop_
_atom_site_label
_atom_site_type_symbol
_atom_site_fract_x
_atom_site_fract_y
_atom_site_fract_z
Na1 Na 0.1665 0.0000 0.1254
Cd1 Cd 0.0884 0.2349 0.6670
Cd2 Cd 0.1770 0.5000 0.3334
In1 In 0.0000 0.5000 0.0000
```

Largest 8 diffraction maxima, in order of falling intensity, 2θ from 10° to 90°:
2.527 Å, 2θ 35.5, I = 100, hkl 4 0 1
2.124 Å, 2θ 42.6, I = 49, hkl 2 2 2
4.247 Å, 2θ 20.9, I = 35, hkl 2 0 1
2.852 Å, 2θ 31.4, I = 27, hkl 3 1 1
2.880 Å, 2θ 31.0, I = 26, hkl 1 1 2
5.444 Å, 2θ 16.3, I = 23, hkl 1 1 0
1.572 Å, 2θ 58.8, I = 20, hkl 0 4 0
2.263 Å, 2θ 39.8, I = 20, hkl 0 0 3

---

No. 8
# NaCd10In
Calculated PXRD pattern, a wavelength of 1.5418 Å. Input: a GGA-PBE-relaxed structure.
Intensities are scaled so that the largest is 100.

Atomic structure:
```
data_NaCd10In
_chemical_formula_sum 'Na1 Cd10 In1'
_space_group_name_H-M_alt 'P m m m'
_space_group_IT_number 47
_cell_length_a 4.8864
_cell_length_b 6.0760
_cell_length_c 10.2704
_cell_angle_alpha 90.00
_cell_angle_beta 90.00
_cell_angle_gamma 90.00
loop_
_space_group_symop_operation_xyz
'x,y,z'
'-x,-y,-z'
'-x,-y,z'
'x,y,-z'
'x,-y,-z'
'-x,y,z'
'-x,y,-z'
'x,-y,z'
loop_
_atom_site_label
_atom_site_type_symbol
_atom_site_fract_x
_atom_site_fract_y
_atom_site_fract_z
Na1 Na 0.0000 0.0000 0.0000
Cd1 Cd 0.0000 0.0000 0.3341
Cd2 Cd 0.0000 0.5000 0.1702
Cd3 Cd 0.5000 0.0000 0.5000
Cd4 Cd 0.5000 0.2456 0.2462
Cd5 Cd 0.5000 0.5000 0.0000
In1 In 0.0000 0.5000 0.5000
```

Largest 8 diffraction maxima, in order of falling intensity, 2θ from 10° to 90°:
2.546 Å, 2θ 35.3, I = 100, hkl 1 1 3
2.305 Å, 2θ 39.1, I = 66, hkl 1 2 2
2.443 Å, 2θ 36.8, I = 54, hkl 2 0 0
2.580 Å, 2θ 34.8, I = 52, hkl 1 2 0
5.229 Å, 2θ 17.0, I = 44, hkl 0 1 1
2.273 Å, 2θ 39.7, I = 30, hkl 1 0 4
2.615 Å, 2θ 34.3, I = 27, hkl 0 2 2
1.642 Å, 2θ 56.0, I = 25, hkl 1 3 3